No. 1
This entry pairs a crystal structure of Fe3Co with its theoretical powder diffractogram. Radiation: Cu Kα (weighted mean of Kα1 and Kα2). Structure: DFT lattice parameters and positions (GGA-PBE).
No peak broadening, texture or thermal motion is included.

The 5 most intense peaks (2θ = 10–90°), sorted by position:
45.0 deg, d 2.016, rel. 100; 65.5 deg, d 1.426, rel. 15; 82.9 deg, d 1.165, rel. 17; 83.0 deg, d 1.164, rel. 10; 83.0 deg, d 1.163, rel. 2

Structural model:
abc: 4.732 4.733 4.935
angles: 99.98 100.06 117.08
Fractional coordinates of all 8 atoms:
Fe: 0.000 0.247 0.374
Fe: 0.000 0.753 0.626
Fe: 0.495 0.749 0.374
Fe: 0.499 0.251 0.125
Fe: 0.501 0.749 0.875
Fe: 0.505 0.251 0.626
Co: 0.000 0.250 0.874
Co: 0.000 0.750 0.126

---

No. 2
This entry pairs a crystal structure of Fe5Co3 with its theoretical powder diffractogram. Radiation: Cu Kα (weighted mean of Kα1 and Kα2). Structure: DFT lattice parameters and positions (GGA-PBE).
No peak broadening, texture or thermal motion is included.

The 7 most intense peaks (2θ = 10–90°), sorted by position:
45.0 deg, d 2.014, rel. 100; 45.3 deg, d 2.004, rel. 20; 65.4 deg, d 1.426, rel. 6; 65.7 deg, d 1.421, rel. 12; 83.0 deg, d 1.164, rel. 17; 83.1 deg, d 1.162, rel. 6; 83.4 deg, d 1.159, rel. 11

Structural model:
abc: 4.008 4.032 11.408
angles: 90.00 90.00 90.00
Fractional coordinates of all 16 atoms:
Fe: 0.000 0.000 0.000
Fe: 0.000 0.000 0.250
Fe: 0.000 0.000 0.750
Fe: 0.000 0.500 0.123
Fe: 0.000 0.500 0.877
Fe: 0.500 0.000 0.377
Fe: 0.500 0.000 0.623
Fe: 0.500 0.500 0.250
Fe: 0.500 0.500 0.500
Fe: 0.500 0.500 0.750
Co: 0.000 0.000 0.500
Co: 0.000 0.500 0.374
Co: 0.000 0.500 0.626
Co: 0.500 0.000 0.126
Co: 0.500 0.000 0.874
Co: 0.500 0.500 0.000

---

No. 3
This entry pairs a crystal structure of GaFe14Co with its theoretical powder diffractogram. Radiation: Cu Kα (weighted mean of Kα1 and Kα2). Structure: DFT lattice parameters and positions (GGA-PBE).
No peak broadening, texture or thermal motion is included.

The 6 most intense peaks (2θ = 10–90°), sorted by position:
44.8 deg, d 2.021, rel. 100; 45.0 deg, d 2.016, rel. 20; 65.1 deg, d 1.433, rel. 6; 65.4 deg, d 1.426, rel. 12; 82.6 deg, d 1.168, rel. 12; 82.8 deg, d 1.166, rel. 23

Structural model:
abc: 4.947 4.947 8.074
angles: 90.00 90.00 109.18
Fractional coordinates of all 16 atoms:
Ga: 0.000 0.000 0.000
Fe: 0.000 0.000 0.500
Fe: 0.000 0.500 0.000
Fe: 0.000 0.500 0.500
Fe: 0.248 0.752 0.249
Fe: 0.248 0.752 0.751
Fe: 0.255 0.255 0.253
Fe: 0.255 0.255 0.747
Fe: 0.500 0.000 0.000
Fe: 0.500 0.000 0.500
Fe: 0.500 0.500 0.500
Fe: 0.745 0.745 0.253
Fe: 0.745 0.745 0.747
Fe: 0.752 0.248 0.249
Fe: 0.752 0.248 0.751
Co: 0.500 0.500 0.000

---

No. 4
This entry pairs a crystal structure of Ga2FeCo5 with its theoretical powder diffractogram. Radiation: Cu Kα (weighted mean of Kα1 and Kα2). Structure: DFT lattice parameters and positions (GGA-PBE).
No peak broadening, texture or thermal motion is included.

The 5 most intense peaks (2θ = 10–90°), sorted by position:
35.1 deg, d 2.558, rel. 1; 44.8 deg, d 2.022, rel. 100; 65.2 deg, d 1.431, rel. 10; 65.4 deg, d 1.428, rel. 5; 82.7 deg, d 1.167, rel. 29

Structural model:
abc: 4.046 4.046 11.421
angles: 90.00 90.00 90.00
Fractional coordinates of all 16 atoms:
Ga: 0.000 0.000 0.250
Ga: 0.000 0.000 0.750
Ga: 0.500 0.500 0.250
Ga: 0.500 0.500 0.750
Fe: 0.000 0.000 0.000
Fe: 0.500 0.500 0.500
Co: 0.000 0.000 0.500
Co: 0.000 0.500 0.121
Co: 0.000 0.500 0.379
Co: 0.000 0.500 0.621
Co: 0.000 0.500 0.879
Co: 0.500 0.000 0.121
Co: 0.500 0.000 0.379
Co: 0.500 0.000 0.621
Co: 0.500 0.000 0.879
Co: 0.500 0.500 0.000

---

No. 5
This entry pairs a crystal structure of Ti2GaFe2Co5 with its theoretical powder diffractogram. Radiation: Cu Kα (weighted mean of Kα1 and Kα2). Structure: DFT lattice parameters and positions (GGA-PBE).
No peak broadening, texture or thermal motion is included.

The 10 most intense peaks (2θ = 10–90°), sorted by position:
24.4 deg, d 3.655, rel. 13; 39.5 deg, d 2.283, rel. 21; 42.6 deg, d 2.124, rel. 100; 45.8 deg, d 1.982, rel. 22; 46.9 deg, d 1.937, rel. 33; 48.9 deg, d 1.863, rel. 29; 49.9 deg, d 1.828, rel. 12; 51.0 deg, d 1.792, rel. 9; 69.2 deg, d 1.358, rel. 11; 87.0 deg, d 1.119, rel. 12

Structural model:
abc: 8.173 8.173 3.726
angles: 90.00 90.00 90.00
Fractional coordinates of all 20 atoms:
Ti: 0.173 0.327 0.000
Ti: 0.327 0.827 0.000
Ti: 0.673 0.173 0.000
Ti: 0.827 0.673 0.000
Ga: 0.000 0.000 0.000
Ga: 0.500 0.500 0.000
Fe: 0.128 0.628 0.000
Fe: 0.372 0.128 0.000
Fe: 0.628 0.872 0.000
Fe: 0.872 0.372 0.000
Co: 0.000 0.500 0.500
Co: 0.066 0.797 0.500
Co: 0.203 0.066 0.500
Co: 0.297 0.566 0.500
Co: 0.434 0.297 0.500
Co: 0.500 0.000 0.500
Co: 0.566 0.703 0.500
Co: 0.703 0.434 0.500
Co: 0.797 0.934 0.500
Co: 0.934 0.203 0.500

---

No. 6
This entry pairs a crystal structure of ZrGa6FeCo5 with its theoretical powder diffractogram. Radiation: Cu Kα (weighted mean of Kα1 and Kα2). Structure: DFT lattice parameters and positions (GGA-PBE).
No peak broadening, texture or thermal motion is included.

The 10 most intense peaks (2θ = 10–90°), sorted by position:
38.2 deg, d 2.359, rel. 33; 41.3 deg, d 2.187, rel. 65; 42.1 deg, d 2.144, rel. 97; 42.8 deg, d 2.114, rel. 49; 43.8 deg, d 2.067, rel. 71; 45.4 deg, d 1.997, rel. 32; 47.4 deg, d 1.918, rel. 100; 48.2 deg, d 1.889, rel. 22; 74.7 deg, d 1.271, rel. 22; 78.2 deg, d 1.223, rel. 20

Structural model:
abc: 6.388 6.388 6.388
angles: 133.10 102.60 95.66
Fractional coordinates of all 13 atoms:
Zr: 0.000 0.000 0.000
Ga: 0.199 0.496 0.703
Ga: 0.497 0.495 0.502
Ga: 0.497 0.995 0.002
Ga: 0.792 0.496 0.297
Ga: 0.994 0.495 0.998
Ga: 0.994 0.995 0.498
Fe: 0.222 0.722 0.500
Co: 0.341 0.994 0.347
Co: 0.353 0.353 0.000
Co: 0.635 0.635 0.000
Co: 0.648 0.994 0.653
Co: 0.770 0.270 0.500

---

No. 7
This entry pairs a crystal structure of ZrGa6Fe5Co with its theoretical powder diffractogram. Radiation: Cu Kα (weighted mean of Kα1 and Kα2). Structure: DFT lattice parameters and positions (GGA-PBE).
No peak broadening, texture or thermal motion is included.

The 10 most intense peaks (2θ = 10–90°), sorted by position:
35.6 deg, d 2.524, rel. 17; 36.9 deg, d 2.435, rel. 32; 41.4 deg, d 2.179, rel. 64; 41.8 deg, d 2.159, rel. 100; 42.1 deg, d 2.144, rel. 52; 42.6 deg, d 2.120, rel. 72; 43.4 deg, d 2.084, rel. 31; 47.1 deg, d 1.931, rel. 88; 47.4 deg, d 1.916, rel. 20; 48.5 deg, d 1.878, rel. 30

Structural model:
abc: 6.510 6.510 6.510
angles: 134.37 100.36 96.94
Fractional coordinates of all 13 atoms:
Zr: 0.000 0.000 0.000
Ga: 0.000 0.003 0.493
Ga: 0.000 0.507 0.996
Ga: 0.206 0.507 0.699
Ga: 0.511 0.003 0.004
Ga: 0.511 0.507 0.507
Ga: 0.807 0.507 0.301
Fe: 0.242 0.742 0.500
Fe: 0.364 0.364 0.000
Fe: 0.370 0.007 0.363
Fe: 0.643 0.007 0.637
Fe: 0.786 0.286 0.500
Co: 0.636 0.636 0.000

---

No. 8
This entry pairs a crystal structure of Fe2Co4Ge with its theoretical powder diffractogram. Radiation: Cu Kα (weighted mean of Kα1 and Kα2). Structure: DFT lattice parameters and positions (GGA-PBE).
No peak broadening, texture or thermal motion is included.

The 10 most intense peaks (2θ = 10–90°), sorted by position:
18.4 deg, d 4.813, rel. 23; 23.1 deg, d 3.842, rel. 15; 34.1 deg, d 2.628, rel. 73; 40.2 deg, d 2.242, rel. 100; 43.7 deg, d 2.073, rel. 24; 50.7 deg, d 1.801, rel. 79; 51.0 deg, d 1.792, rel. 22; 58.5 deg, d 1.577, rel. 22; 75.0 deg, d 1.267, rel. 14; 81.3 deg, d 1.184, rel. 18

Structural model:
abc: 8.479 8.479 8.479
angles: 145.22 145.22 50.00
Fractional coordinates of all 14 atoms:
Fe: 0.000 0.000 0.000
Fe: 0.000 0.000 0.500
Fe: 0.000 0.500 0.000
Fe: 0.500 0.000 0.500
Co: 0.162 0.199 0.537
Co: 0.162 0.626 0.963
Co: 0.199 0.162 0.037
Co: 0.374 0.838 0.537
Co: 0.626 0.162 0.463
Co: 0.801 0.838 0.963
Co: 0.838 0.374 0.037
Co: 0.838 0.801 0.463
Ge: 0.375 0.625 0.750
Ge: 0.625 0.375 0.250

---

No. 9
This entry pairs a crystal structure of FeCo2Ge2 with its theoretical powder diffractogram. Radiation: Cu Kα (weighted mean of Kα1 and Kα2). Structure: DFT lattice parameters and positions (GGA-PBE).
No peak broadening, texture or thermal motion is included.

The 10 most intense peaks (2θ = 10–90°), sorted by position:
32.4 deg, d 2.765, rel. 23; 35.5 deg, d 2.529, rel. 14; 40.0 deg, d 2.255, rel. 21; 45.2 deg, d 2.006, rel. 40; 45.5 deg, d 1.994, rel. 100; 46.8 deg, d 1.939, rel. 76; 47.7 deg, d 1.907, rel. 45; 66.9 deg, d 1.398, rel. 17; 67.8 deg, d 1.382, rel. 22; 87.3 deg, d 1.117, rel. 14

Structural model:
abc: 4.987 3.815 6.756
angles: 90.00 90.00 90.00
Fractional coordinates of all 10 atoms:
Fe: 0.000 0.000 0.000
Fe: 0.500 0.000 0.000
Co: 0.000 0.500 0.500
Co: 0.250 0.500 0.167
Co: 0.500 0.500 0.500
Co: 0.750 0.500 0.833
Ge: 0.250 0.000 0.377
Ge: 0.250 0.500 0.808
Ge: 0.750 0.000 0.623
Ge: 0.750 0.500 0.192

---

No. 10
This entry pairs a crystal structure of Fe14CoGe with its theoretical powder diffractogram. Radiation: Cu Kα (weighted mean of Kα1 and Kα2). Structure: DFT lattice parameters and positions (GGA-PBE).
No peak broadening, texture or thermal motion is included.

The 6 most intense peaks (2θ = 10–90°), sorted by position:
44.8 deg, d 2.024, rel. 100; 45.1 deg, d 2.012, rel. 49; 64.7 deg, d 1.440, rel. 8; 65.6 deg, d 1.423, rel. 14; 82.3 deg, d 1.171, rel. 14; 83.0 deg, d 1.164, rel. 28

Structural model:
abc: 4.948 4.948 8.049
angles: 90.00 90.00 108.82
Fractional coordinates of all 16 atoms:
Fe: 0.000 0.000 0.000
Fe: 0.000 0.500 0.000
Fe: 0.000 0.500 0.500
Fe: 0.248 0.752 0.250
Fe: 0.248 0.752 0.750
Fe: 0.254 0.254 0.247
Fe: 0.254 0.254 0.753
Fe: 0.500 0.000 0.000
Fe: 0.500 0.000 0.500
Fe: 0.500 0.500 0.000
Fe: 0.746 0.746 0.247
Fe: 0.746 0.746 0.753
Fe: 0.752 0.248 0.250
Fe: 0.752 0.248 0.750
Co: 0.500 0.500 0.500
Ge: 0.000 0.000 0.500

---

No. 11
This entry pairs a crystal structure of FeCo5H7 with its theoretical powder diffractogram. Radiation: Cu Kα (weighted mean of Kα1 and Kα2). Structure: DFT lattice parameters and positions (GGA-PBE).
No peak broadening, texture or thermal motion is included.

The 10 most intense peaks (2θ = 10–90°), sorted by position:
37.8 deg, d 2.382, rel. 25; 40.8 deg, d 2.213, rel. 68; 41.7 deg, d 2.168, rel. 27; 42.2 deg, d 2.143, rel. 37; 43.4 deg, d 2.084, rel. 100; 44.2 deg, d 2.047, rel. 63; 48.7 deg, d 1.870, rel. 44; 50.9 deg, d 1.794, rel. 34; 70.3 deg, d 1.339, rel. 35; 88.3 deg, d 1.106, rel. 24

Structural model:
abc: 4.528 4.528 14.258
angles: 90.04 90.04 33.52
Fractional coordinates of all 26 atoms:
Fe: 0.190 0.190 0.250
Fe: 0.810 0.810 0.750
Co: 0.000 0.000 0.000
Co: 0.000 0.000 0.500
Co: 0.274 0.274 0.581
Co: 0.274 0.274 0.919
Co: 0.454 0.454 0.347
Co: 0.455 0.455 0.153
Co: 0.545 0.545 0.847
Co: 0.546 0.546 0.653
Co: 0.726 0.726 0.081
Co: 0.726 0.726 0.419
H: 0.088 0.088 0.384
H: 0.089 0.089 0.116
H: 0.170 0.170 0.818
H: 0.171 0.171 0.683
H: 0.361 0.361 0.038
H: 0.361 0.361 0.462
H: 0.446 0.446 0.750
H: 0.554 0.554 0.250
H: 0.639 0.639 0.538
H: 0.639 0.639 0.962
H: 0.829 0.829 0.317
H: 0.830 0.830 0.182
H: 0.911 0.911 0.884
H: 0.912 0.912 0.616